For Mg2Co9O13, DFT lattice parameters and positions (GGA+U) gives the calculated PXRD pattern in this record (Cu Kα, 1.54184 Å).

Largest 12 diffraction maxima, by angle, 5° ≤ 2θ ≤ 70°:
| 2θ/deg | I (rel.) |
| --- | --- |
| 10.92 | 100.0 |
| 35.35 | 80.6 |
| 35.95 | 61.4 |
| 37.09 | 42.3 |
| 37.21 | 28.3 |
| 42.77 | 35.5 |
| 43.13 | 34.4 |
| 44.16 | 57.8 |
| 44.74 | 38.8 |
| 46.23 | 31.9 |
| 60.36 | 26.8 |
| 64.93 | 35.2 |

Structure:
abc: 5.057 5.057 16.347
angles: 97.17 97.17 33.01
Sites, in units of the cell vectors:
Mg 0.213 0.213 0.225
Mg 0.787 0.787 0.775
Co 0.007 0.007 0.674
Co 0.066 0.066 0.883
Co 0.247 0.247 0.585
Co 0.356 0.356 0.960
Co 0.500 0.500 0.500
Co 0.644 0.644 0.040
Co 0.753 0.753 0.415
Co 0.934 0.934 0.117
Co 0.993 0.993 0.326
O 0.000 0.000 0.000
O 0.121 0.121 0.470
O 0.136 0.136 0.781
O 0.303 0.303 0.072
O 0.363 0.363 0.694
O 0.396 0.396 0.389
O 0.430 0.430 0.858
O 0.570 0.570 0.142
O 0.604 0.604 0.611
O 0.637 0.637 0.306
O 0.697 0.697 0.928
O 0.864 0.864 0.219
O 0.879 0.879 0.530